No. 1
For ThZrGa5Pt2, a DFT-relaxed cell (PBE, Alexandria) gives the theoretical X-ray powder pattern in this record (Cu Kα (λ = 1.5418 Å)).
Neutral-atom scattering factors, no anomalous dispersion.

a b c (Å): 4.1711 4.1711 11.5702
angles (deg): 90.00 90.00 90.00
Atoms (fractional coordinates):
1 Th 0.0000 0.0000 0.0000
2 Zr 0.0000 0.0000 0.5000
3 Ga 0.0000 0.5000 0.3285
4 Ga 0.0000 0.5000 0.6715
5 Ga 0.5000 0.0000 0.3285
6 Ga 0.5000 0.0000 0.6715
7 Ga 0.5000 0.5000 0.0000
8 Pt 0.5000 0.5000 0.2040
9 Pt 0.5000 0.5000 0.7960

The 10 most intense peaks (10 to 90 degrees two-theta), in order of falling intensity:
2θ (°), I (rel.)
26.3, 100
43.4, 48
31.3, 42
43.8, 35
51.5, 33
50.1, 33
30.3, 25
31.6, 24
38.4, 17
63.0, 16

No. 2
For YNi2Hg2, a DFT-relaxed cell (PBE, Alexandria) gives the theoretical X-ray powder pattern in this record (Cu Kα (λ = 1.5418 Å)).
Neutral-atom scattering factors, no anomalous dispersion.

a b c (Å): 7.0270 7.0270 3.7450
angles (deg): 90.00 90.00 90.00
Atoms (fractional coordinates):
1 Y 0.0000 0.0000 0.0000
2 Y 0.5000 0.5000 0.0000
3 Ni 0.1237 0.3763 0.0000
4 Ni 0.3763 0.8763 0.0000
5 Ni 0.6237 0.1237 0.0000
6 Ni 0.8763 0.6237 0.0000
7 Hg 0.1678 0.6678 0.5000
8 Hg 0.3322 0.1678 0.5000
9 Hg 0.6678 0.8322 0.5000
10 Hg 0.8322 0.3322 0.5000

The 10 most intense peaks (10 to 90 degrees two-theta), in order of falling intensity:
2θ (°), I (rel.)
37.4, 100
35.0, 35
40.6, 32
28.4, 28
59.6, 16
65.1, 16
48.6, 15
61.2, 15
77.5, 11
53.8, 11

No. 3
For In2CoSn2, a DFT-relaxed cell (PBE, Alexandria) gives the theoretical X-ray powder pattern in this record (Cu Kα (λ = 1.5418 Å)).
Neutral-atom scattering factors, no anomalous dispersion.

a b c (Å): 11.7555 11.7555 11.7555
angles (deg): 157.81 157.81 31.59
Atoms (fractional coordinates):
1 In 0.0641 0.3141 0.7500
2 In 0.3141 0.0641 0.2500
3 In 0.6859 0.9359 0.7500
4 In 0.9359 0.6859 0.2500
5 Co 0.1250 0.8750 0.2500
6 Co 0.8750 0.1250 0.7500
7 Sn 0.1986 0.4486 0.7500
8 Sn 0.4486 0.1986 0.2500
9 Sn 0.5514 0.8014 0.7500
10 Sn 0.8014 0.5514 0.2500

The 10 most intense peaks (10 to 90 degrees two-theta), in order of falling intensity:
2θ (°), I (rel.)
36.8, 100
29.0, 61
39.8, 59
70.4, 30
51.7, 27
31.6, 27
57.6, 20
49.3, 17
79.2, 13
67.2, 13

No. 4
For Zr7Sb2C2, a DFT-relaxed cell (PBE, Alexandria) gives the theoretical X-ray powder pattern in this record (Cu Kα (λ = 1.5418 Å)).
Neutral-atom scattering factors, no anomalous dispersion.

a b c (Å): 8.7903 8.7903 8.7903
angles (deg): 158.34 65.07 119.48
Atoms (fractional coordinates):
1 Zr 0.0000 0.0000 0.0000
2 Zr 0.0677 0.7296 0.3381
3 Zr 0.0716 0.3891 0.6825
4 Zr 0.3915 0.7296 0.6619
5 Zr 0.4349 0.5785 0.8564
6 Zr 0.7067 0.3891 0.3175
7 Zr 0.7220 0.5785 0.1436
8 Sb 0.3330 0.3330 0.0000
9 Sb 0.7220 0.2220 0.5000
10 C 0.3768 0.1250 0.2518
11 C 0.8731 0.1250 0.7482

The 10 most intense peaks (10 to 90 degrees two-theta), in order of falling intensity:
2θ (°), I (rel.)
35.4, 100
37.9, 69
38.6, 51
36.4, 49
31.3, 43
55.6, 33
34.4, 33
67.7, 29
28.8, 23
50.0, 19

No. 5
For Ti2GePd4, a DFT-relaxed cell (PBE, Alexandria) gives the theoretical X-ray powder pattern in this record (Cu Kα (λ = 1.5418 Å)).
Neutral-atom scattering factors, no anomalous dispersion.

a b c (Å): 6.6978 6.6978 6.6978
angles (deg): 116.83 115.27 97.00
Atoms (fractional coordinates):
1 Ti 0.2500 0.3950 0.1450
2 Ti 0.6868 0.2500 0.9368
3 Ti 0.7500 0.1050 0.3550
4 Ti 0.8132 0.7500 0.5632
5 Ge 0.5325 0.7825 0.7500
6 Ge 0.9675 0.7175 0.2500
7 Pd 0.0773 0.4864 0.4729
8 Pd 0.1730 0.1470 0.6485
9 Pd 0.3270 0.9755 0.9740
10 Pd 0.4227 0.8957 0.4092
11 Pd 0.5015 0.3530 0.5260
12 Pd 0.5135 0.6043 0.0271
13 Pd 0.9865 0.0136 0.0908
14 Pd 0.9985 0.5245 0.8515

The 10 most intense peaks (10 to 90 degrees two-theta), in order of falling intensity:
2θ (°), I (rel.)
39.8, 100
41.6, 87
41.9, 65
41.4, 53
40.6, 35
32.1, 34
15.9, 27
44.7, 22
45.6, 22
26.8, 22

No. 6
For NaInSn2Cl6, a DFT-relaxed cell (PBE, Alexandria) gives the theoretical X-ray powder pattern in this record (Cu Kα (λ = 1.5418 Å)).
Neutral-atom scattering factors, no anomalous dispersion.

a b c (Å): 7.1943 7.6414 7.8444
angles (deg): 63.72 63.30 63.90
Atoms (fractional coordinates):
1 Na 0.0000 0.0000 0.0000
2 In 0.4620 0.5460 0.4826
3 Sn 0.1747 0.4024 0.1854
4 Sn 0.6665 0.9205 0.7097
5 Cl 0.0637 0.6623 0.8675
6 Cl 0.2997 0.1610 0.6211
7 Cl 0.4189 0.7306 0.0475
8 Cl 0.6275 0.1801 0.8644
9 Cl 0.8798 0.6677 0.3713
10 Cl 0.8935 0.2133 0.2764

The 10 most intense peaks (10 to 90 degrees two-theta), in order of falling intensity:
2θ (°), I (rel.)
22.6, 100
38.6, 64
21.7, 59
23.4, 57
15.8, 52
16.3, 45
24.8, 44
22.8, 41
26.0, 40
42.6, 40

No. 7
For SiPAuI, a DFT-relaxed cell (PBE, Alexandria) gives the theoretical X-ray powder pattern in this record (Cu Kα (λ = 1.5418 Å)).
Neutral-atom scattering factors, no anomalous dispersion.

a b c (Å): 4.1260 4.1491 7.0986
angles (deg): 101.44 93.11 90.17
Atoms (fractional coordinates):
1 Si 0.0000 0.0000 0.0000
2 P 0.4327 0.9328 0.8117
3 Au 0.7122 0.4649 0.9014
4 I 0.0959 0.1095 0.3529

The 10 most intense peaks (10 to 90 degrees two-theta), in order of falling intensity:
2θ (°), I (rel.)
24.5, 100
25.6, 86
12.7, 69
31.1, 57
43.8, 48
23.0, 48
27.5, 47
25.8, 46
32.1, 40
49.8, 32

No. 8
For DyEr7, a DFT-relaxed cell (PBE, Alexandria) gives the theoretical X-ray powder pattern in this record (Cu Kα (λ = 1.5418 Å)).
Neutral-atom scattering factors, no anomalous dispersion.

a b c (Å): 6.9999 6.9999 6.9999
angles (deg): 60.00 60.00 60.00
Atoms (fractional coordinates):
1 Dy 0.0000 0.0000 0.0000
2 Er 0.0000 0.0000 0.5000
3 Er 0.0000 0.5000 0.0000
4 Er 0.0000 0.5000 0.5000
5 Er 0.5000 0.0000 0.0000
6 Er 0.5000 0.0000 0.5000
7 Er 0.5000 0.5000 0.0000
8 Er 0.5000 0.5000 0.5000

The 8 most intense peaks (10 to 90 degrees two-theta), in order of falling intensity:
2θ (°), I (rel.)
31.3, 100
36.3, 51
62.2, 43
52.3, 36
85.5, 18
88.3, 17
65.3, 12
77.1, 6